[1]
Computed powder diffraction line list of Ba6Ca2Ir3RuO18 for λ = 1.5418 Å (Cu Kα), from a PBE-relaxed structure.
No peak broadening, texture or thermal motion is included.

Crystal structure
```
data_Ba6Ca2Ir3RuO18
_symmetry_space_group_name_H-M 'P 3 m 1'
_symmetry_Int_Tables_number 156
_cell_length_a 5.9733
_cell_length_b 5.9733
_cell_length_c 14.6988
_cell_angle_alpha 90.00
_cell_angle_beta 90.00
_cell_angle_gamma 120.00
loop_
_symmetry_equiv_pos_as_xyz
'x,y,z'
'-y,x-y,z'
'-x+y,-x,z'
'-y,-x,z'
'-x+y,y,z'
'x,x-y,z'
loop_
_atom_site_label
_atom_site_type_symbol
_atom_site_fract_x
_atom_site_fract_y
_atom_site_fract_z
Ba1 Ba 0.0000 0.0000 0.0000
Ba2 Ba 0.0000 0.0000 0.3219
Ba3 Ba 0.3333 0.6667 0.1601
Ba4 Ba 0.3333 0.6667 0.6586
Ba5 Ba 0.6667 0.3333 0.4980
Ba6 Ba 0.6667 0.3333 0.8213
Ca1 Ca 0.3333 0.6667 0.4092
Ca2 Ca 0.3333 0.6667 0.9102
Ir1 Ir 0.0000 0.0000 0.5734
Ir2 Ir 0.6667 0.3333 0.0725
Ir3 Ir 0.6667 0.3333 0.2457
Ru1 Ru 0.0000 0.0000 0.7477
O1 O 0.1546 0.3092 0.8192
O2 O 0.1548 0.3096 0.4985
O3 O 0.3105 0.1553 0.6592
O4 O 0.3545 0.1773 0.1590
O5 O 0.5120 0.0241 0.3211
O6 O 0.5123 0.0247 0.9966
```

The 8 most intense peaks (10 to 90 degrees two-theta), low angle first:
- 18.18 deg, intensity 22
- 25.03 deg, intensity 14
- 29.89 deg, intensity 100
- 35.11 deg, intensity 19
- 42.75 deg, intensity 18
- 46.73 deg, intensity 21
- 53.09 deg, intensity 25
- 56.49 deg, intensity 19

[2]
Computed powder diffraction line list of NdSm4Os2 for λ = 1.5418 Å (Cu Kα), from a PBE-relaxed structure.
No peak broadening, texture or thermal motion is included.

Crystal structure
```
data_NdSm4Os2
_symmetry_space_group_name_H-M 'P 1 21/m 1'
_symmetry_Int_Tables_number 11
_cell_length_a 7.9597
_cell_length_b 6.5377
_cell_length_c 8.0236
_cell_angle_alpha 90.00
_cell_angle_beta 112.46
_cell_angle_gamma 90.00
loop_
_symmetry_equiv_pos_as_xyz
'x,y,z'
'-x,-y,-z'
'-x,y+1/2,-z'
'x,-y+1/2,z'
loop_
_atom_site_label
_atom_site_type_symbol
_atom_site_fract_x
_atom_site_fract_y
_atom_site_fract_z
Nd1 Nd 0.0260 0.2500 0.1591
Sm1 Sm 0.2414 0.5019 0.5825
Sm2 Sm 0.3236 0.7500 0.2476
Sm3 Sm 0.3777 0.2500 0.0204
Os1 Os 0.0214 0.2500 0.7417
Os2 Os 0.4110 0.2500 0.3747
```

The 8 most intense peaks (10 to 90 degrees two-theta), low angle first:
- 27.28 deg, intensity 72
- 30.18 deg, intensity 67
- 30.48 deg, intensity 80
- 33.85 deg, intensity 100
- 35.55 deg, intensity 93
- 35.65 deg, intensity 67
- 36.64 deg, intensity 83
- 36.78 deg, intensity 91

[3]
Computed powder diffraction line list of CeY2H8 for λ = 1.5418 Å (Cu Kα), from a PBE-relaxed structure.
No peak broadening, texture or thermal motion is included.

Crystal structure
```
data_CeY2H8
_symmetry_space_group_name_H-M 'I m m m'
_symmetry_Int_Tables_number 71
_symmetry_space_group_name_Hall '-I 2 2'
_cell_length_a 3.6751
_cell_length_b 5.3518
_cell_length_c 11.0573
_cell_angle_alpha 90.00
_cell_angle_beta 90.00
_cell_angle_gamma 90.00
loop_
_atom_site_label
_atom_site_type_symbol
_atom_site_fract_x
_atom_site_fract_y
_atom_site_fract_z
Ce1 Ce 0.0000 0.0000 0.0000
Y1 Y 0.0000 0.0000 0.3306
H1 H 0.0000 0.2188 0.5000
H2 H 0.0000 0.2652 0.1652
H3 H 0.0000 0.5000 0.3466
```

The 8 most intense peaks (10 to 90 degrees two-theta), low angle first:
- 29.45 deg, intensity 100
- 33.49 deg, intensity 17
- 34.46 deg, intensity 32
- 48.81 deg, intensity 26
- 57.40 deg, intensity 15
- 58.63 deg, intensity 14
- 58.74 deg, intensity 14
- 79.18 deg, intensity 11

[4]
Computed powder diffraction line list of Ho6Mg2Pt for λ = 1.5418 Å (Cu Kα), from a PBE-relaxed structure.
No peak broadening, texture or thermal motion is included.

Crystal structure
```
data_Ho6Mg2Pt
_symmetry_space_group_name_H-M 'P 1 21/c 1'
_symmetry_Int_Tables_number 14
_cell_length_a 6.4614
_cell_length_b 7.6942
_cell_length_c 11.1355
_cell_angle_alpha 90.00
_cell_angle_beta 112.09
_cell_angle_gamma 90.00
loop_
_symmetry_equiv_pos_as_xyz
'x,y,z'
'-x,-y,-z'
'-x,y+1/2,-z+1/2'
'x,-y+1/2,z+1/2'
loop_
_atom_site_label
_atom_site_type_symbol
_atom_site_fract_x
_atom_site_fract_y
_atom_site_fract_z
Ho1 Ho 0.1112 0.0335 0.2532
Ho2 Ho 0.1666 0.7118 0.0310
Ho3 Ho 0.3462 0.1599 0.0074
Mg1 Mg 0.3913 0.0872 0.7361
Pt1 Pt 0.5000 0.0000 0.5000
```

The 8 most intense peaks (10 to 90 degrees two-theta), low angle first:
- 17.19 deg, intensity 62
- 28.95 deg, intensity 53
- 29.45 deg, intensity 57
- 30.61 deg, intensity 100
- 33.53 deg, intensity 50
- 34.78 deg, intensity 71
- 36.16 deg, intensity 41
- 37.87 deg, intensity 41

[5]
Computed powder diffraction line list of RbTiHS2 for λ = 1.5418 Å (Cu Kα), from a PBE-relaxed structure.
No peak broadening, texture or thermal motion is included.

Crystal structure
```
data_RbTiHS2
_symmetry_space_group_name_H-M 'P 1 21/m 1'
_symmetry_Int_Tables_number 11
_cell_length_a 7.3625
_cell_length_b 3.5809
_cell_length_c 8.7471
_cell_angle_alpha 90.00
_cell_angle_beta 108.76
_cell_angle_gamma 90.00
loop_
_symmetry_equiv_pos_as_xyz
'x,y,z'
'-x,-y,-z'
'-x,y+1/2,-z'
'x,-y+1/2,z'
loop_
_atom_site_label
_atom_site_type_symbol
_atom_site_fract_x
_atom_site_fract_y
_atom_site_fract_z
Rb1 Rb 0.1727 0.2500 0.2985
Ti1 Ti 0.3562 0.2500 0.8333
H1 H 0.1058 0.2500 0.7897
S1 S 0.3051 0.7500 0.0165
S2 S 0.3327 0.7500 0.6468
```

The 8 most intense peaks (10 to 90 degrees two-theta), low angle first:
- 21.14 deg, intensity 42
- 21.46 deg, intensity 46
- 24.31 deg, intensity 98
- 25.55 deg, intensity 63
- 30.87 deg, intensity 64
- 32.86 deg, intensity 94
- 33.07 deg, intensity 100
- 54.96 deg, intensity 44

[6]
Computed powder diffraction line list of GaPtS for λ = 1.5418 Å (Cu Kα), from a PBE-relaxed structure.
No peak broadening, texture or thermal motion is included.

Crystal structure
```
data_GaPtS
_symmetry_space_group_name_H-M 'P 1 21 1'
_symmetry_Int_Tables_number 4
_cell_length_a 6.1188
_cell_length_b 6.1244
_cell_length_c 6.2293
_cell_angle_alpha 90.00
_cell_angle_beta 114.49
_cell_angle_gamma 90.00
loop_
_symmetry_equiv_pos_as_xyz
'x,y,z'
'-x,y+1/2,-z'
loop_
_atom_site_label
_atom_site_type_symbol
_atom_site_fract_x
_atom_site_fract_y
_atom_site_fract_z
Ga1 Ga 0.1509 0.0000 0.1244
Ga2 Ga 0.3397 0.5012 0.4418
Pt1 Pt 0.2569 0.1321 0.5536
Pt2 Pt 0.2896 0.6344 0.0418
S1 S 0.1501 0.7446 0.6347
S2 S 0.3292 0.2508 0.9464
```

The 8 most intense peaks (10 to 90 degrees two-theta), low angle first:
- 22.45 deg, intensity 100
- 29.16 deg, intensity 39
- 31.57 deg, intensity 33
- 32.15 deg, intensity 40
- 43.95 deg, intensity 23
- 47.16 deg, intensity 29
- 47.91 deg, intensity 38
- 52.54 deg, intensity 25